[1]
Diffraction record for Tl4In7Hg4. The PXRD pattern is computed, not measured: it uses a crystal structure in Alexandria, relaxed with GGA-PBE and Cu Kα X-rays.

Peak list (10 most intense, 15 to 90 degrees two-theta, sorted by position)
Position (°2θ), I_rel, hkl
31.8, 57, 1 0 4
32.1, 32, 1 3 -1
32.4, 15, 2 3 1
32.9, 34, 2 3 2
33.1, 100, 2 0 -2
33.5, 17, -1 3 1
35.6, 14, 2 3 3
36.3, 13, 0 3 3
37.1, 14, 1 3 -2
57.5, 17, 1 0 -6

Cell lengths 8.3583, 9.6847, 11.3821 Å; angles 81.05, 68.84, 79.50 degrees
Space group P-1 (No. 2)
Inequivalent atoms, fractional coordinates:
Tl1 0.0128 0.4246 0.2550 [2 per cell]
Tl2 0.2001 0.2118 0.4732 [2 per cell]
Tl3 0.3811 0.7086 0.6568 [2 per cell]
Tl4 0.3857 0.3621 0.6584 [2 per cell]
In1 0.0252 0.7736 0.2159 [2 per cell]
In2 0.1938 0.8806 0.4436 [2 per cell]
In3 0.1948 0.9213 0.9221 [2 per cell]
In4 0.2012 0.5543 0.4362 [2 per cell]
In5 0.2007 0.5695 0.9556 [2 per cell]
In6 0.4095 0.2431 0.1445 [2 per cell]
In7 0.4095 0.9007 0.1299 [2 per cell]
Hg1 0.0210 0.0868 0.2589 [2 per cell]
Hg2 0.1892 0.2402 0.9644 [2 per cell]
Hg3 0.4079 0.5725 0.1464 [2 per cell]
Hg4 0.4339 0.0300 0.6511 [2 per cell]

=====

[2]
Diffraction record for Tl3In2Hg6. The PXRD pattern is computed, not measured: it uses a crystal structure in Alexandria, relaxed with GGA-PBE and Cu Kα X-rays.

Peak list (10 most intense, 15 to 90 degrees two-theta, sorted by position)
Position (°2θ), I_rel, hkl
30.1, 100, 0 1 11
36.3, 66, 1 1 0
47.8, 28, 2 0 11
49.3, 22, 1 0 22
61.5, 27, 1 2 11
62.7, 11, 0 2 22
65.2, 12, 3 0 0
74.6, 13, 2 1 22
80.2, 8, 1 1 33
84.8, 12, 3 1 11

Cell lengths 4.9551, 4.9551, 45.1008 Å; angles 90.00, 90.00, 120.00 degrees
Space group R-3m (No. 166, hexagonal axes)
Inequivalent atoms, fractional coordinates:
Tl1 0.0000 0.0000 0.0000 [3 per cell]
Tl2 0.0000 0.0000 0.2687 [6 per cell]
In1 0.0000 0.0000 0.4582 [6 per cell]
Hg1 0.0000 0.0000 0.0969 [6 per cell]
Hg2 0.0000 0.0000 0.1807 [6 per cell]
Hg3 0.0000 0.0000 0.3654 [6 per cell]

=====

[3]
Diffraction record for TlIn4Hg4. The PXRD pattern is computed, not measured: it uses a crystal structure in Alexandria, relaxed with GGA-PBE and Cu Kα X-rays.

Peak list (10 most intense, 15 to 90 degrees two-theta, sorted by position)
Position (°2θ), I_rel, hkl
26.5, 18, 1 0 3
27.8, 52, 2 0 1
30.6, 16, 0 0 4
30.9, 64, 2 1 1
33.5, 27, 1 0 4
35.4, 100, 2 0 3
38.1, 34, 2 2 0
41.3, 26, 2 2 2
55.0, 21, 4 0 0
67.2, 28, 4 2 3

Cell lengths 6.6772, 6.6772, 11.6707 Å; angles 90.00, 90.00, 90.00 degrees
Space group P4_2/nmc (No. 137, origin choice 2)
Inequivalent atoms, fractional coordinates:
Tl1 0.2500 0.7500 0.2500 [2 per cell]
In1 0.0316 0.2500 0.1813 [8 per cell]
Hg1 0.0102 0.2500 0.4725 [8 per cell]

=====

[4]
Diffraction record for TlIn7Hg6. The PXRD pattern is computed, not measured: it uses a crystal structure in Alexandria, relaxed with GGA-PBE and Cu Kα X-rays.

Peak list (10 most intense, 15 to 90 degrees two-theta, sorted by position)
Position (°2θ), I_rel, hkl
27.8, 75, 1 2 3
29.1, 59, 2 0 0
30.7, 42, 0 2 4
33.7, 56, 0 8 0
33.8, 28, 2 2 2
36.8, 100, 1 6 3
36.9, 17, 2 4 2
37.5, 40, 1 8 1
50.7, 16, 3 2 3
54.5, 26, 2 0 6

Cell lengths 6.1417, 21.3380, 12.0930 Å; angles 90.00, 90.00, 90.00 degrees
Space group Ibam (No. 72)
Inequivalent atoms, fractional coordinates:
Tl1 0.0000 0.0000 0.2500 [4 per cell]
In1 0.0000 0.5000 0.2500 [4 per cell]
In2 0.1484 0.2248 0.1267 [16 per cell]
In3 0.2460 0.4583 0.0000 [8 per cell]
Hg1 0.2238 0.3655 0.1872 [16 per cell]
Hg2 0.2485 0.4002 0.5000 [8 per cell]

=====

[5]
Diffraction record for Tl6InHg8. The PXRD pattern is computed, not measured: it uses a crystal structure in Alexandria, relaxed with GGA-PBE and Cu Kα X-rays.

Peak list (10 most intense, 15 to 90 degrees two-theta, sorted by position)
Position (°2θ), I_rel, hkl
27.0, 12, 0 2 1
29.2, 16, 0 0 2
30.1, 33, 2 1 0
31.4, 17, 1 0 2
33.5, 100, 3 -2 1
35.4, 23, 1 1 2
42.4, 19, 2 1 2
53.5, 15, 1 4 0
62.4, 9, 4 -1 3
64.6, 11, 4 2 1

Cell lengths 9.0700, 9.0700, 6.1214 Å; angles 90.00, 90.00, 120.00 degrees
Space group P-3 (No. 147)
Inequivalent atoms, fractional coordinates:
Tl1 0.1029 0.4471 0.3115 [6 per cell]
In1 0.0000 0.0000 0.5000 [1 per cell]
Hg1 0.0656 0.2853 0.8199 [6 per cell]
Hg2 0.3333 0.6667 0.8440 [2 per cell]

=====

[6]
Diffraction record for Tl9In3Hg2. The PXRD pattern is computed, not measured: it uses a crystal structure in Alexandria, relaxed with GGA-PBE and Cu Kα X-rays.

Peak list (10 most intense, 15 to 90 degrees two-theta, sorted by position)
Position (°2θ), I_rel, hkl
21.1, 34, 1 0 5
24.0, 23, 1 1 0
25.2, 10, 0 0 10
34.3, 56, 2 0 0
35.1, 100, 1 1 10
40.6, 13, 2 1 5
49.2, 20, 2 2 0
61.9, 39, 3 1 10
63.5, 16, 2 0 20
74.2, 10, 2 2 20

Cell lengths 5.2349, 5.2349, 35.3714 Å; angles 90.00, 90.00, 90.00 degrees
Space group I-4m2 (No. 119)
Inequivalent atoms, fractional coordinates:
Tl1 0.0000 0.0000 0.0000 [2 per cell]
Tl2 0.0000 0.0000 0.0983 [4 per cell]
Tl3 0.0000 0.0000 0.2005 [4 per cell]
Tl4 0.0000 0.0000 0.3017 [4 per cell]
Tl5 0.0000 0.0000 0.4047 [4 per cell]
In1 0.0000 0.5000 0.1483 [4 per cell]
In2 0.0000 0.5000 0.7500 [2 per cell]
Hg1 0.0000 0.5000 0.5440 [4 per cell]